1.
Theoretical powder X-ray diffraction pattern of MgFe4H4O8 for CuKα, from a PBE+U-relaxed structure.
No peak broadening, texture or thermal motion is included.

Structure:
```
17
Lattice="3.192 0.000 0.000 -1.139 7.691 0.000 -0.416 -1.849 8.187" Properties=species:S:1:pos:R:3 pbc="T T T"
Mg 0.000 0.000 0.000
Fe 0.025 1.468 3.725
Fe 1.179 -1.079 5.628
Fe 0.459 6.920 2.559
Fe 1.612 4.374 4.462
H 0.015 2.898 6.094
H 0.561 5.467 0.236
H 1.077 0.374 7.951
H 1.622 2.944 2.093
O -0.027 0.436 2.087
O 0.025 3.061 5.138
O 0.008 5.316 3.674
O 0.467 6.398 0.479
O 1.170 -0.557 7.708
O 1.630 0.525 4.513
O 1.612 2.780 3.049
O 1.665 5.406 6.100
```

Principal peaks in the range 5 to 70 degrees two-theta, most intense first:
2θ 10.81, rel. 100
2θ 11.80, rel. 54
2θ 34.96, rel. 23
2θ 35.87, rel. 17
2θ 22.33, rel. 17
2θ 32.75, rel. 16

=====

2.
Theoretical powder X-ray diffraction pattern of MgFe2H2O4 for CuKα, from a PBE+U-relaxed structure.
No peak broadening, texture or thermal motion is included.

Structure:
```
9
Lattice="3.320 0.000 0.000 0.067 4.243 0.000 1.503 0.524 6.388" Properties=species:S:1:pos:R:3 pbc="T T T"
Mg 0.000 0.000 0.000
Fe 1.684 0.571 3.403
Fe 3.239 2.641 4.927
H 0.331 2.021 1.071
H 3.578 3.472 2.392
O 0.173 2.140 0.113
O 1.497 2.612 3.630
O 3.178 0.519 5.207
O 3.375 4.369 2.024
```

Principal peaks in the range 5 to 70 degrees two-theta, most intense first:
2θ 13.86, rel. 100
2θ 33.80, rel. 50
2θ 42.76, rel. 36
2θ 34.70, rel. 36
2θ 45.35, rel. 26
2θ 44.17, rel. 26

=====

3.
Theoretical powder X-ray diffraction pattern of MgFe2H2O4 for CuKα, from a PBE+U-relaxed structure.
No peak broadening, texture or thermal motion is included.

Structure:
```
9
Lattice="5.188 0.000 0.000 0.000 3.261 0.000 -1.062 0.000 5.594" Properties=species:S:1:pos:R:3 pbc="T T T"
Mg 0.000 0.000 0.000
Fe 1.086 0.000 3.926
Fe 2.995 1.630 1.302
H 1.380 0.000 1.698
H 3.460 1.630 3.719
O -0.298 1.630 4.723
O 0.435 0.000 1.953
O 2.575 1.630 3.229
O 3.190 0.000 0.230
```

Principal peaks in the range 5 to 70 degrees two-theta, most intense first:
2θ 34.91, rel. 100
2θ 25.75, rel. 89
2θ 32.60, rel. 68
2θ 56.87, rel. 59
2θ 35.90, rel. 55
2θ 17.40, rel. 52

=====

4.
Theoretical powder X-ray diffraction pattern of MgFe4H4O8 for CuKα, from a PBE+U-relaxed structure.
No peak broadening, texture or thermal motion is included.

Structure:
```
17
Lattice="7.334 -1.500 0.000 7.334 1.500 0.000 -5.193 0.000 8.347" Properties=species:S:1:pos:R:3 pbc="T T T"
Mg 0.000 0.000 0.000
Fe -2.880 0.000 6.734
Fe 2.301 0.000 3.745
Fe 7.173 0.000 4.602
Fe 12.354 0.000 1.612
H -0.364 0.000 2.850
H 2.885 0.000 1.402
H 6.589 0.000 6.945
H 9.838 0.000 5.497
O -1.135 0.000 3.467
O 0.929 0.000 5.311
O 3.567 0.000 2.102
O 6.049 0.000 0.618
O 3.425 0.000 7.729
O 5.907 0.000 6.245
O 8.545 0.000 3.036
O 10.609 0.000 4.879
```

Principal peaks in the range 5 to 70 degrees two-theta, most intense first:
2θ 21.86, rel. 100
2θ 10.60, rel. 30
2θ 35.10, rel. 27
2θ 29.68, rel. 23
2θ 18.30, rel. 22
2θ 47.87, rel. 21

=====

5.
Theoretical powder X-ray diffraction pattern of MgFe4H4O8 for CuKα, from a PBE+U-relaxed structure.
No peak broadening, texture or thermal motion is included.

Structure:
```
17
Lattice="-5.356 5.356 1.550 5.356 -5.356 1.550 5.356 5.356 -1.550" Properties=species:S:1:pos:R:3 pbc="T T T"
Mg 0.000 0.000 0.000
Fe 6.927 1.595 0.000
Fe 1.595 3.784 0.000
Fe 3.761 1.571 1.550
Fe -1.571 3.761 1.550
H 4.372 3.713 0.000
H 1.643 -0.984 1.550
H 3.713 6.339 0.000
H 0.984 1.643 1.550
O 3.516 0.368 0.000
O 3.625 3.067 0.000
O 4.988 -1.840 1.550
O 2.288 -1.731 1.550
O 3.067 7.087 0.000
O 0.368 7.195 0.000
O 1.731 2.288 1.550
O 1.840 4.988 1.550
```

Principal peaks in the range 5 to 70 degrees two-theta, most intense first:
2θ 26.31, rel. 100
2θ 11.68, rel. 87
2θ 34.46, rel. 85
2θ 54.84, rel. 63
2θ 16.55, rel. 37
2θ 33.46, rel. 30